Diffraction record for Ti6NiPd. The powder XRD pattern is theoretical, not measured: it uses a structure optimized by DFT (PBE) and Cu Ka.
Peak positions follow from Bragg's law for the DFT cell and can differ from measured ones.

Largest 10 diffraction maxima, by intensity, 2θ = 5–70°:
2theta  I/Imax
36.7  1000
35.3  898
42.9  858
34.5  634
20.1  623
51.8  537
42.1  453
42.4  422
57.4  327
57.9  320

Crystal structure
Cell: 5.814 5.814 5.384 Å, 103.63 103.63 122.29°
Element x y z (fractional)
Ti 0.211 0.774 0.758
Ti 0.226 0.789 0.242
Ti 0.471 0.471 0.233
Ti 0.529 0.529 0.767
Ti 0.774 0.211 0.758
Ti 0.789 0.226 0.242
Ni 0.000 0.000 0.000
Pd 0.000 0.000 0.500